1.
Theoretical powder diffraction line list of ScTlIn for copper Kα, from a PBE-relaxed structure.
Lines closer than 0.1° are merged.

Main lines, in order of rising 2θ (10 to 90 degrees two-theta):
Position (°2θ)  I (rel.)
23.39  78
30.70  24
31.25  87
34.30  45
37.16  100
41.54  58
48.22  25
54.93  46
66.97  24
72.90  27

Crystal structure
Lattice parameters (Å, degrees): 4.348 4.348 7.843 90.00 90.00 90.00
Element x y z (fractional)
Sc 0.250 0.250 0.187
Sc 0.750 0.750 0.813
Tl 0.250 0.250 0.813
Tl 0.750 0.750 0.187
In 0.250 0.750 0.500
In 0.750 0.250 0.500

=====

2.
Theoretical powder diffraction line list of Sc12Tl3In for copper Kα, from a PBE-relaxed structure.
Lines closer than 0.1° are merged.

Main lines, in order of rising 2θ (10 to 90 degrees two-theta):
Position (°2θ)  I (rel.)
19.62  53
27.88  46
34.32  100
39.84  49
44.78  27
49.32  21
57.61  32
61.47  14
68.80  37
79.19  11

Crystal structure
Lattice parameters (Å, degrees): 4.525 4.525 18.108 90.00 90.00 90.00
Element x y z (fractional)
Sc 0.000 0.000 0.000
Sc 0.000 0.000 0.250
Sc 0.000 0.000 0.500
Sc 0.000 0.000 0.750
Sc 0.000 0.500 0.124
Sc 0.000 0.500 0.375
Sc 0.000 0.500 0.625
Sc 0.000 0.500 0.876
Sc 0.500 0.000 0.124
Sc 0.500 0.000 0.375
Sc 0.500 0.000 0.625
Sc 0.500 0.000 0.876
Tl 0.500 0.500 0.250
Tl 0.500 0.500 0.500
Tl 0.500 0.500 0.750
In 0.500 0.500 0.000

=====

3.
Theoretical powder diffraction line list of Sc5TlIn3 for copper Kα, from a PBE-relaxed structure.
Lines closer than 0.1° are merged.

Main lines, in order of rising 2θ (10 to 90 degrees two-theta):
Position (°2θ)  I (rel.)
11.62  39
23.36  28
24.70  27
30.75  17
34.25  20
35.07  100
35.35  87
50.65  28
63.27  26
70.42  26

Crystal structure
Lattice parameters (Å, degrees): 8.796 8.796 6.291 90.00 90.00 120.00
Element x y z (fractional)
Sc 0.000 0.295 0.250
Sc 0.000 0.705 0.750
Sc 0.295 0.000 0.250
Sc 0.295 0.295 0.750
Sc 0.333 0.667 0.000
Sc 0.333 0.667 0.500
Sc 0.667 0.333 0.000
Sc 0.667 0.333 0.500
Sc 0.705 0.000 0.750
Sc 0.705 0.705 0.250
Tl 0.000 0.000 0.000
Tl 0.000 0.000 0.500
In 0.000 0.372 0.750
In 0.000 0.628 0.250
In 0.372 0.000 0.750
In 0.372 0.372 0.250
In 0.628 0.000 0.250
In 0.628 0.628 0.750

=====

4.
Theoretical powder diffraction line list of Sc6TlIn5 for copper Kα, from a PBE-relaxed structure.
Lines closer than 0.1° are merged.

Main lines, in order of rising 2θ (10 to 90 degrees two-theta):
Position (°2θ)  I (rel.)
20.52  23
27.59  21
34.63  100
39.42  35
41.74  15
44.84  12
56.97  11
58.75  21
68.39  13
68.43  13

Crystal structure
Lattice parameters (Å, degrees): 8.424 8.424 8.424 148.50 118.17 71.05
Element x y z (fractional)
Sc 0.083 0.333 0.750
Sc 0.249 0.000 0.249
Sc 0.416 0.667 0.750
Sc 0.584 0.333 0.250
Sc 0.751 0.000 0.751
Sc 0.917 0.667 0.250
Tl 0.000 0.500 0.500
In 0.170 0.170 0.000
In 0.334 0.834 0.500
In 0.500 0.500 0.000
In 0.666 0.166 0.500
In 0.830 0.830 0.000

=====

5.
Theoretical powder diffraction line list of Sc5TlIn2 for copper Kα, from a PBE-relaxed structure.
Lines closer than 0.1° are merged.

Main lines, in order of rising 2θ (10 to 90 degrees two-theta):
Position (°2θ)  I (rel.)
15.79  16
23.36  27
24.30  61
25.83  35
31.90  20
33.98  26
34.43  100
34.77  53
37.05  27
37.20  46

Crystal structure
Lattice parameters (Å, degrees): 6.297 12.366 4.834 90.00 90.00 90.00
Element x y z (fractional)
Sc 0.000 0.000 0.000
Sc 0.129 0.266 0.000
Sc 0.163 0.612 0.500
Sc 0.337 0.112 0.500
Sc 0.371 0.766 0.000
Sc 0.500 0.500 0.000
Sc 0.629 0.234 0.000
Sc 0.663 0.888 0.500
Sc 0.837 0.388 0.500
Sc 0.871 0.734 0.000
Tl 0.000 0.500 0.000
Tl 0.500 0.000 0.000
In 0.134 0.856 0.500
In 0.366 0.356 0.500
In 0.634 0.644 0.500
In 0.866 0.144 0.500

=====

6.
Theoretical powder diffraction line list of Sc5TlIn6 for copper Kα, from a PBE-relaxed structure.
Lines closer than 0.1° are merged.

Main lines, in order of rising 2θ (10 to 90 degrees two-theta):
Position (°2θ)  I (rel.)
11.86  7
34.37  100
39.61  32
40.49  14
57.26  10
57.91  10
57.94  10
68.52  23
69.73  10
72.45  10

Crystal structure
Lattice parameters (Å, degrees): 8.466 8.466 8.466 148.83 116.48 72.45
Element x y z (fractional)
Sc 0.000 0.000 0.000
Sc 0.172 0.672 0.500
Sc 0.351 0.351 0.000
Sc 0.649 0.649 0.000
Sc 0.828 0.328 0.500
Tl 0.500 0.000 0.500
In 0.067 0.827 0.240
In 0.230 0.500 0.730
In 0.413 0.173 0.240
In 0.587 0.827 0.760
In 0.770 0.500 0.270
In 0.933 0.173 0.760